Simulated powder X-ray diffraction pattern of SmZnHg3 for Cu Kα, 1.54184 Å, from a GGA-PBE-relaxed structure.
Lines closer than 0.1° are merged.

Structure:
```
SmZnHg3
1.0
9.1183 0.0000 0.0000
0.0000 4.6645 0.0000
0.0000 0.0000 11.0981
Sm Zn Hg
4 4 12
Cartesian
1.9809 1.1661 0.0397
2.5782 3.4984 5.5887
6.5400 1.1661 5.5094
7.1374 3.4984 11.0585
1.0656 1.1661 3.8340
3.4936 3.4984 9.3830
5.6247 1.1661 1.7151
8.0527 3.4984 7.2641
0.5221 1.1661 6.5969
0.7991 3.4984 9.3007
1.2466 3.4984 2.0841
3.3126 1.1661 7.6331
3.7600 1.1661 3.7516
4.0370 3.4984 1.0478
5.0813 1.1661 10.0503
5.3582 3.4984 7.3465
5.8057 3.4984 3.4650
7.8717 1.1661 9.0141
8.3192 1.1661 1.7975
8.5961 3.4984 4.5012
```

Principal peaks in the range 2θ = 10–80°, by angle:
26.81°, intensity 27
31.83°, intensity 47
32.41°, intensity 100
36.19°, intensity 73
37.96°, intensity 15
38.60°, intensity 52
38.91°, intensity 16
41.89°, intensity 19
43.13°, intensity 16
68.31°, intensity 21